Record 1
Structure and simulated PXRD pattern of Ce6Mg23C (a PBE-relaxed structure; Cu Kα (λ = 1.5418 Å)).

Structure:
Unit cell a=10.157 b=10.157 c=10.157 alpha=60.00 beta=60.00 gamma=60.00
Sites, in units of the cell vectors:
1 Ce 0.179 0.179 0.821
2 Ce 0.179 0.821 0.179
3 Ce 0.179 0.821 0.821
4 Ce 0.821 0.179 0.179
5 Ce 0.821 0.179 0.821
6 Ce 0.821 0.821 0.179
7 Mg 0.000 0.000 0.500
8 Mg 0.000 0.500 0.000
9 Mg 0.000 0.500 0.500
10 Mg 0.140 0.620 0.620
11 Mg 0.171 0.171 0.171
12 Mg 0.171 0.171 0.487
13 Mg 0.171 0.487 0.171
14 Mg 0.380 0.380 0.380
15 Mg 0.380 0.380 0.860
16 Mg 0.380 0.860 0.380
17 Mg 0.487 0.171 0.171
18 Mg 0.500 0.000 0.000
19 Mg 0.500 0.000 0.500
20 Mg 0.500 0.500 0.000
21 Mg 0.500 0.500 0.500
22 Mg 0.513 0.829 0.829
23 Mg 0.620 0.140 0.620
24 Mg 0.620 0.620 0.140
25 Mg 0.620 0.620 0.620
26 Mg 0.829 0.513 0.829
27 Mg 0.829 0.829 0.513
28 Mg 0.829 0.829 0.829
29 Mg 0.860 0.380 0.380
30 C 0.000 0.000 0.000

Top 10 peaks for 2θ = 10–90°, sorted by position:
Position (°2θ), intensity
10.67, 57
12.32, 27
21.43, 19
27.06, 40
30.49, 37
32.38, 100
35.35, 22
37.57, 34
54.18, 33
64.55, 26

***

Record 2
Structure and simulated PXRD pattern of Ce2Mn22C3 (a PBE-relaxed structure; Cu Kα (λ = 1.5418 Å)).

Structure:
Unit cell a=7.781 b=7.781 c=6.526 alpha=114.66 beta=114.66 gamma=78.89
Sites, in units of the cell vectors:
1 Ce 0.249 0.249 0.367
2 Ce 0.751 0.751 0.633
3 Mn 0.000 0.000 0.500
4 Mn 0.000 0.500 0.000
5 Mn 0.074 0.832 0.144
6 Mn 0.081 0.676 0.433
7 Mn 0.168 0.926 0.856
8 Mn 0.173 0.589 0.823
9 Mn 0.252 0.252 0.872
10 Mn 0.323 0.583 0.259
11 Mn 0.324 0.919 0.567
12 Mn 0.411 0.827 0.177
13 Mn 0.417 0.677 0.741
14 Mn 0.500 0.000 0.000
15 Mn 0.500 0.500 0.000
16 Mn 0.583 0.323 0.259
17 Mn 0.589 0.173 0.823
18 Mn 0.676 0.081 0.433
19 Mn 0.677 0.417 0.741
20 Mn 0.748 0.748 0.128
21 Mn 0.827 0.411 0.177
22 Mn 0.832 0.074 0.144
23 Mn 0.919 0.324 0.567
24 Mn 0.926 0.168 0.856
25 C 0.000 0.500 0.500
26 C 0.500 0.000 0.500
27 C 0.500 0.500 0.500

Top 10 peaks for 2θ = 10–90°, sorted by position:
Position (°2θ), intensity
30.16, 45
35.03, 36
35.30, 36
39.44, 50
39.57, 56
39.88, 100
40.05, 88
40.62, 76
42.53, 69
49.66, 36

***

Record 3
Structure and simulated PXRD pattern of Ce2Mo2C3 (a PBE-relaxed structure; Cu Kα (λ = 1.5418 Å)).

Structure:
Unit cell a=6.308 b=6.308 c=5.787 alpha=113.98 beta=113.98 gamma=30.86
Sites, in units of the cell vectors:
1 Ce 0.104 0.104 0.307
2 Ce 0.896 0.896 0.693
3 Mo 0.341 0.341 0.175
4 Mo 0.659 0.659 0.825
5 C 0.248 0.248 0.761
6 C 0.500 0.500 0.500
7 C 0.752 0.752 0.239

Top 10 peaks for 2θ = 10–90°, sorted by position:
Position (°2θ), intensity
29.58, 35
30.81, 23
30.96, 34
32.48, 40
34.17, 35
34.49, 95
35.38, 100
35.95, 20
49.45, 27
54.98, 27

***

Record 4
Structure and simulated PXRD pattern of CeSi2Mo2C (a PBE-relaxed structure; Cu Kα (λ = 1.5418 Å)).

Structure:
Unit cell a=4.222 b=4.222 c=5.351 alpha=90.00 beta=90.00 gamma=90.00
Sites, in units of the cell vectors:
1 Ce 0.000 0.000 0.000
2 Si 0.500 0.500 0.219
3 Si 0.500 0.500 0.781
4 Mo 0.000 0.500 0.500
5 Mo 0.500 0.000 0.500
6 C 0.000 0.000 0.500

Top 10 peaks for 2θ = 10–90°, sorted by position:
Position (°2θ), intensity
21.04, 13
26.90, 23
33.49, 20
34.40, 100
39.89, 24
42.84, 38
55.44, 19
59.96, 14
60.46, 15
73.03, 27

***

Record 5
Structure and simulated PXRD pattern of Ce2C3N6 (a PBE-relaxed structure; Cu Kα (λ = 1.5418 Å)).

Structure:
Unit cell a=7.793 b=7.793 c=5.358 alpha=96.60 beta=96.60 gamma=29.94
Sites, in units of the cell vectors:
1 Ce 0.135 0.135 0.072
2 Ce 0.865 0.865 0.928
3 C 0.000 0.000 0.500
4 C 0.327 0.327 0.406
5 C 0.673 0.673 0.594
6 N 0.011 0.011 0.732
7 N 0.311 0.311 0.172
8 N 0.342 0.342 0.636
9 N 0.658 0.658 0.364
10 N 0.689 0.689 0.828
11 N 0.989 0.989 0.268

Top 10 peaks for 2θ = 10–90°, sorted by position:
Position (°2θ), intensity
16.67, 99
22.88, 79
23.81, 67
27.48, 45
28.00, 100
32.06, 37
34.30, 68
39.69, 30
40.50, 43
46.41, 28

***

Record 6
Structure and simulated PXRD pattern of CeThCN (a PBE-relaxed structure; Cu Kα (λ = 1.5418 Å)).

Structure:
Unit cell a=3.703 b=3.703 c=5.175 alpha=90.00 beta=90.00 gamma=90.00
Sites, in units of the cell vectors:
1 Ce 0.000 0.000 0.000
2 Th 0.500 0.500 0.500
3 C 0.000 0.000 0.500
4 N 0.500 0.500 0.000

Top 10 peaks for 2θ = 10–90°, sorted by position:
Position (°2θ), intensity
29.66, 100
34.24, 45
34.67, 22
49.21, 16
49.52, 32
58.52, 31
59.08, 15
61.59, 17
80.37, 13
82.34, 7

***

Record 7
Structure and simulated PXRD pattern of CeUCN (a PBE-relaxed structure; Cu Kα (λ = 1.5418 Å)).

Structure:
Unit cell a=3.510 b=3.510 c=5.045 alpha=90.00 beta=90.00 gamma=90.00
Sites, in units of the cell vectors:
1 Ce 0.000 0.000 0.000
2 U 0.500 0.500 0.500
3 C 0.000 0.000 0.500
4 N 0.500 0.500 0.000

Top 10 peaks for 2θ = 10–90°, sorted by position:
Position (°2θ), intensity
31.04, 100
35.59, 23
36.19, 44
51.67, 31
52.12, 15
61.10, 16
61.91, 30
64.71, 16
84.42, 13
86.57, 8

***

Record 8
Structure and simulated PXRD pattern of NaCeC2O6 (a PBE-relaxed structure; Cu Kα (λ = 1.5418 Å)).

Structure:
Unit cell a=5.200 b=6.449 c=7.199 alpha=90.00 beta=90.00 gamma=90.00
Sites, in units of the cell vectors:
1 Na 0.000 0.018 0.000
2 Na 0.000 0.982 0.500
3 Ce 0.500 0.370 0.298
4 Ce 0.500 0.630 0.798
5 C 0.000 0.464 0.970
6 C 0.000 0.536 0.470
7 C 0.500 0.081 0.715
8 C 0.500 0.919 0.215
9 O 0.000 0.359 0.387
10 O 0.000 0.641 0.887
11 O 0.219 0.375 0.006
12 O 0.219 0.625 0.506
13 O 0.288 0.016 0.253
14 O 0.288 0.984 0.753
15 O 0.500 0.263 0.637
16 O 0.500 0.737 0.137
17 O 0.712 0.016 0.253
18 O 0.712 0.984 0.753
19 O 0.781 0.375 0.006
20 O 0.781 0.625 0.506

Top 10 peaks for 2θ = 10–90°, sorted by position:
Position (°2θ), intensity
13.73, 52
17.05, 79
18.47, 86
25.24, 63
30.20, 100
30.37, 62
35.04, 69
43.89, 37
45.27, 43
46.62, 53

***

Record 9
Structure and simulated PXRD pattern of Na2CePCO7 (a PBE-relaxed structure; Cu Kα (λ = 1.5418 Å)).

Structure:
Unit cell a=5.234 b=7.175 c=9.507 alpha=90.00 beta=90.33 gamma=90.00
Sites, in units of the cell vectors:
1 Na 0.232 0.007 0.201
2 Na 0.232 0.493 0.201
3 Na 0.768 0.507 0.799
4 Na 0.768 0.993 0.799
5 Ce 0.231 0.250 0.612
6 Ce 0.769 0.750 0.388
7 P 0.289 0.750 0.591
8 P 0.711 0.250 0.409
9 C 0.267 0.250 0.916
10 C 0.733 0.750 0.084
11 O 0.045 0.250 0.851
12 O 0.153 0.574 0.648
13 O 0.153 0.926 0.648
14 O 0.268 0.750 0.426
15 O 0.291 0.250 0.048
16 O 0.420 0.250 0.374
17 O 0.468 0.250 0.831
18 O 0.532 0.750 0.169
19 O 0.580 0.750 0.626
20 O 0.709 0.750 0.952
21 O 0.732 0.250 0.574
22 O 0.847 0.074 0.352
23 O 0.847 0.426 0.352
24 O 0.955 0.750 0.149

Top 10 peaks for 2θ = 10–90°, sorted by position:
Position (°2θ), intensity
15.47, 91
19.35, 48
21.01, 100
24.82, 88
25.24, 65
25.38, 83
26.56, 50
31.67, 81
34.26, 47
41.48, 47

***

Record 10
Structure and simulated PXRD pattern of Ce3NdC8 (a PBE-relaxed structure; Cu Kα (λ = 1.5418 Å)).

Structure:
Unit cell a=3.798 b=3.798 c=12.766 alpha=90.00 beta=90.00 gamma=90.00
Sites, in units of the cell vectors:
1 Ce 0.000 0.000 0.000
2 Ce 0.500 0.500 0.249
3 Ce 0.500 0.500 0.751
4 Nd 0.000 0.000 0.500
5 C 0.000 0.000 0.198
6 C 0.000 0.000 0.300
7 C 0.000 0.000 0.700
8 C 0.000 0.000 0.802
9 C 0.500 0.500 0.051
10 C 0.500 0.500 0.449
11 C 0.500 0.500 0.551
12 C 0.500 0.500 0.949

Top 10 peaks for 2θ = 10–90°, sorted by position:
Position (°2θ), intensity
27.33, 100
27.96, 34
33.37, 53
44.07, 39
47.91, 18
49.08, 29
56.03, 29
56.38, 19
71.01, 19
86.61, 11

***

Number 2 is which compound?
Ce2Mn22C3